No. 1
Computed powder X-ray diffraction pattern of LiMoPO4 for a wavelength of 1.5418 Å, from a cell relaxed with PBE+U.
No peak broadening, texture or thermal motion is included.

Unit cell a=5.960 b=8.727 c=6.001 alpha=90.00 beta=90.00 gamma=90.00
Space group Cmcm (No. 63)
Unique sites:
Li (0.000, 0.155, 0.250) (multiplicity 4)
Mo (0.000, 0.500, 0.000) (multiplicity 4)
P (0.000, 0.146, 0.750) (multiplicity 4)
O (0.000, 0.246, 0.539) (multiplicity 8)
O (0.207, 0.034, 0.750) (multiplicity 8)

Top 6 peaks for 2θ = 5–70°, in order of rising 2θ:
d 4.922, I = 68.5, hkl 1 1 0; d 4.364, I = 44.0, hkl 0 2 0; d 2.980, I = 45.6, hkl 2 0 0; d 2.614, I = 52.4, hkl 1 3 0; d 2.562, I = 100.0, hkl 1 1 2; d 1.518, I = 32.1, hkl 2 4 2

No. 2
Computed powder X-ray diffraction pattern of LiMoP2O8 for a wavelength of 1.5418 Å, from a cell relaxed with PBE+U.
No peak broadening, texture or thermal motion is included.

Unit cell a=5.023 b=17.106 c=8.432 alpha=90.00 beta=116.49 gamma=90.00
Space group P2_1/c (No. 14)
Unique sites:
Li (0.154, 0.086, 0.451) (multiplicity 4)
Mo (0.275, 0.635, 0.485) (multiplicity 4)
P (0.064, 0.044, 0.798) (multiplicity 4)
P (0.405, 0.202, 0.269) (multiplicity 4)
O (0.014, 0.066, 0.616) (multiplicity 4)
O (0.042, 0.547, 0.311) (multiplicity 4)
O (0.097, 0.201, 0.097) (multiplicity 4)
O (0.186, 0.579, 0.657) (multiplicity 4)
O (0.355, 0.682, 0.300) (multiplicity 4)
O (0.361, 0.071, 0.953) (multiplicity 4)
O (0.422, 0.150, 0.414) (multiplicity 4)
O (0.473, 0.211, 0.829) (multiplicity 4)

Top 6 peaks for 2θ = 5–70°, in order of rising 2θ:
d 6.905, I = 100.0, hkl 0 1 1; d 4.550, I = 28.1, hkl 0 3 1; d 4.283, I = 32.7, hkl 0 4 0; d 3.979, I = 29.6, hkl 1 2 0; d 3.765, I = 37.4, hkl 1 1 -2; d 3.057, I = 34.8, hkl 1 2 1

No. 3
Computed powder X-ray diffraction pattern of Li3MoP2O8 for a wavelength of 1.5418 Å, from a cell relaxed with PBE+U.
No peak broadening, texture or thermal motion is included.

Unit cell a=8.444 b=5.574 c=6.262 alpha=90.00 beta=90.16 gamma=90.00
Space group C2/m (No. 12)
Unique sites:
Li (0.000, 0.000, 0.000) (multiplicity 2)
Li (0.166, 0.500, 0.781) (multiplicity 4)
Mo (0.000, 0.000, 0.500) (multiplicity 2)
P (0.149, 0.500, 0.262) (multiplicity 4)
O (0.034, 0.277, 0.259) (multiplicity 8)
O (0.243, 0.000, 0.930) (multiplicity 4)
O (0.245, 0.500, 0.475) (multiplicity 4)

Top 6 peaks for 2θ = 5–70°, in order of rising 2θ:
d 6.262, I = 73.5, hkl 0 0 1; d 3.737, I = 100.0, hkl 1 1 -1; d 3.496, I = 52.7, hkl 2 0 1; d 2.787, I = 30.6, hkl 0 2 0; d 2.597, I = 74.9, hkl 1 1 2; d 2.512, I = 37.3, hkl 3 1 0

No. 4
Computed powder X-ray diffraction pattern of Li3Mo2P5O18 for a wavelength of 1.5418 Å, from a cell relaxed with PBE+U.
No peak broadening, texture or thermal motion is included.

Unit cell a=6.665 b=9.697 c=10.674 alpha=96.65 beta=92.80 gamma=92.63
Space group P-1 (No. 2)
Unique sites:
Li (0.016, 0.221, 0.077) (multiplicity 2)
Li (0.381, 0.811, 0.840) (multiplicity 2)
Li (0.451, 0.115, 0.353) (multiplicity 2)
Mo (0.157, 0.239, 0.546) (multiplicity 2)
Mo (0.273, 0.643, 0.095) (multiplicity 2)
P (0.021, 0.968, 0.706) (multiplicity 2)
P (0.222, 0.408, 0.856) (multiplicity 2)
P (0.275, 0.980, 0.102) (multiplicity 2)
P (0.316, 0.414, 0.316) (multiplicity 2)
P (0.346, 0.712, 0.402) (multiplicity 2)
O (0.037, 0.341, 0.916) (multiplicity 2)
O (0.092, 0.940, 0.191) (multiplicity 2)
O (0.121, 0.852, 0.762) (multiplicity 2)
O (0.150, 0.088, 0.396) (multiplicity 2)
O (0.157, 0.737, 0.474) (multiplicity 2)
O (0.160, 0.075, 0.650) (multiplicity 2)
O (0.160, 0.372, 0.411) (multiplicity 2)
O (0.194, 0.378, 0.711) (multiplicity 2)
O (0.209, 0.093, 0.027) (multiplicity 2)
O (0.219, 0.460, 0.194) (multiplicity 2)
O (0.234, 0.567, 0.904) (multiplicity 2)
O (0.280, 0.834, 0.018) (multiplicity 2)
O (0.310, 0.745, 0.266) (multiplicity 2)
O (0.417, 0.557, 0.395) (multiplicity 2)
O (0.420, 0.352, 0.907) (multiplicity 2)
O (0.462, 0.016, 0.188) (multiplicity 2)
O (0.472, 0.201, 0.534) (multiplicity 2)
O (0.472, 0.309, 0.292) (multiplicity 2)

Top 6 peaks for 2θ = 5–70°, in order of rising 2θ:
d 7.579, I = 73.0, hkl 0 1 -1; d 5.001, I = 45.6, hkl 1 -1 1; d 4.907, I = 63.4, hkl -1 1 1; d 4.584, I = 100.0, hkl 0 2 -1; d 3.367, I = 59.5, hkl 0 2 2; d 3.193, I = 80.7, hkl 2 -1 0